# 1
For HoPa2Pd9, a cell relaxed with GGA-PBE gives the theoretical powder diffraction line list in this record (Cu Kα, 1.54184 Å).

The 10 most intense peaks (2θ from 10° to 80°), low angle first:
Position (°2θ)  intensity
21.44  10
30.51  8
37.59  100
43.64  33
43.77  16
49.13  3
54.22  4
63.49  32
76.13  25
76.31  12

Cell and atoms:
Cell: 4.1478 4.1478 12.4096 Å, 90.00 90.00 90.00°
Fractional positions:
Ho (0.0000, 0.0000, 0.0000)
Pa (0.0000, 0.0000, 0.3302)
Pa (0.0000, 0.0000, 0.6698)
Pd (0.0000, 0.5000, 0.1683)
Pd (0.0000, 0.5000, 0.5000)
Pd (0.0000, 0.5000, 0.8317)
Pd (0.5000, 0.0000, 0.1683)
Pd (0.5000, 0.0000, 0.5000)
Pd (0.5000, 0.0000, 0.8317)
Pd (0.5000, 0.5000, 0.0000)
Pd (0.5000, 0.5000, 0.3335)
Pd (0.5000, 0.5000, 0.6665)

# 2
For HoPaTlPd, a cell relaxed with GGA-PBE gives the theoretical powder diffraction line list in this record (Cu Kα, 1.54184 Å).

The 10 most intense peaks (2θ from 10° to 80°), low angle first:
Position (°2θ)  intensity
21.01  6
24.31  2
34.65  100
40.87  3
49.81  18
54.63  1
62.10  38
66.33  1
73.11  12
77.05  1

Cell and atoms:
Cell: 7.3224 7.3224 7.3224 Å, 90.00 90.00 90.00°
Fractional positions:
Ho (0.0000, 0.0000, 0.0000)
Ho (0.0000, 0.5000, 0.5000)
Ho (0.5000, 0.0000, 0.5000)
Ho (0.5000, 0.5000, 0.0000)
Pa (0.0000, 0.0000, 0.5000)
Pa (0.0000, 0.5000, 0.0000)
Pa (0.5000, 0.0000, 0.0000)
Pa (0.5000, 0.5000, 0.5000)
Tl (0.2500, 0.2500, 0.2500)
Tl (0.2500, 0.7500, 0.7500)
Tl (0.7500, 0.2500, 0.7500)
Tl (0.7500, 0.7500, 0.2500)
Pd (0.2500, 0.2500, 0.7500)
Pd (0.2500, 0.7500, 0.2500)
Pd (0.7500, 0.2500, 0.2500)
Pd (0.7500, 0.7500, 0.7500)

# 3
For Ho2Pa2Rh5, a cell relaxed with GGA-PBE gives the theoretical powder diffraction line list in this record (Cu Kα, 1.54184 Å).

The 10 most intense peaks (2θ from 10° to 80°), low angle first:
Position (°2θ)  intensity
12.78  62
27.34  39
29.86  47
33.04  100
34.02  43
36.63  42
37.53  100
38.51  78
38.99  92
42.33  53

Cell and atoms:
Cell: 7.8540 7.8540 7.5124 Å, 90.00 90.00 56.19°
Fractional positions:
Ho (0.2025, 0.2025, 0.0000)
Ho (0.2975, 0.2975, 0.5000)
Ho (0.7025, 0.7025, 0.5000)
Ho (0.7975, 0.7975, 0.0000)
Pa (0.1605, 0.8395, 0.6614)
Pa (0.3395, 0.6605, 0.1614)
Pa (0.6605, 0.3395, 0.8386)
Pa (0.8395, 0.1605, 0.3386)
Rh (0.0000, 0.0000, 0.0000)
Rh (0.0199, 0.7323, 0.3545)
Rh (0.2323, 0.5199, 0.8545)
Rh (0.2677, 0.9801, 0.3545)
Rh (0.4801, 0.7677, 0.8545)
Rh (0.5000, 0.5000, 0.5000)
Rh (0.5199, 0.2323, 0.1455)
Rh (0.7323, 0.0199, 0.6455)
Rh (0.7677, 0.4801, 0.1455)
Rh (0.9801, 0.2677, 0.6455)

# 4
For Ho3PaRu3, a cell relaxed with GGA-PBE gives the theoretical powder diffraction line list in this record (Cu Kα, 1.54184 Å).

The 10 most intense peaks (2θ from 10° to 80°), low angle first:
Position (°2θ)  intensity
26.44  34
31.90  63
32.66  67
32.91  51
37.30  93
38.18  100
42.10  19
42.70  21
57.33  19
58.13  59

Cell and atoms:
Cell: 5.7964 5.7964 5.7964 Å, 108.84 108.84 108.84°
Fractional positions:
Ho (0.1997, 0.1997, 0.6006)
Ho (0.1997, 0.6006, 0.1997)
Ho (0.6006, 0.1997, 0.1997)
Pa (0.8066, 0.8066, 0.8066)
Ru (0.1591, 0.6984, 0.6984)
Ru (0.6984, 0.1591, 0.6984)
Ru (0.6984, 0.6985, 0.1591)